No. 1
Starting from DFT lattice parameters and positions (GGA-PBE), the powder XRD pattern of Li2Ag12Pd was computed for Cu Kα (λ = 1.5418 Å).

Cell and atoms:
Unit cell a=5.5035 b=5.5035 c=20.0180 alpha=90.00 beta=90.00 gamma=90.00
Positions (direct):
Li  0.2500  0.7500  0.2388
Li  0.2500  0.7500  0.7612
Li  0.7500  0.2500  0.2388
Li  0.7500  0.2500  0.7612
Ag  0.0001  0.9999  0.4018
Ag  0.9999  0.0001  0.5982
Ag  0.9999  0.4999  0.4018
Ag  0.0001  0.5001  0.5982
Ag  0.0723  0.5723  0.0641
Ag  0.0723  0.9277  0.9359
Ag  0.2500  0.2500  0.1649
Ag  0.2500  0.2500  0.2987
Ag  0.2500  0.2500  0.7013
Ag  0.2500  0.2500  0.8351
Ag  0.4277  0.5723  0.9359
Ag  0.4277  0.9277  0.0641
Ag  0.5001  0.0001  0.4018
Ag  0.4999  0.9999  0.5982
Ag  0.4999  0.5001  0.4018
Ag  0.5001  0.4999  0.5982
Ag  0.5723  0.0723  0.9359
Ag  0.5723  0.4277  0.0641
Ag  0.7500  0.7500  0.1649
Ag  0.7500  0.7500  0.2987
Ag  0.7500  0.7500  0.7013
Ag  0.7500  0.7500  0.8351
Ag  0.9277  0.0723  0.0641
Ag  0.9277  0.4277  0.9359
Pd  0.2500  0.7500  0.5000
Pd  0.7500  0.2500  0.5000

Principal peaks in the range 2θ = 10–80°, low angle first:
2θ = 24.54°, intensity 96
2θ = 33.78°, intensity 59
2θ = 35.28°, intensity 26
2θ = 37.29°, intensity 30
2θ = 39.06°, intensity 60
2θ = 39.75°, intensity 41
2θ = 40.56°, intensity 40
2θ = 42.59°, intensity 100
2θ = 46.68°, intensity 57
2θ = 63.54°, intensity 30

No. 2
Starting from DFT lattice parameters and positions (GGA-PBE), the powder XRD pattern of Pm5P4 was computed for Cu Kα (λ = 1.5418 Å).

Cell and atoms:
Unit cell a=8.3771 b=8.3771 c=8.3771 alpha=93.31 beta=93.31 gamma=152.21
Positions (direct):
Pm  0.0000  0.0000  0.0000
Pm  0.2640  0.4031  0.6672
Pm  0.4031  0.7360  0.1391
Pm  0.5969  0.2640  0.8609
Pm  0.7360  0.5969  0.3328
P  0.0936  0.2276  0.3212
P  0.2276  0.9064  0.1340
P  0.7724  0.0936  0.8660
P  0.9064  0.7724  0.6788

Principal peaks in the range 2θ = 10–80°, low angle first:
2θ = 10.88°, intensity 49
2θ = 24.48°, intensity 46
2θ = 28.16°, intensity 100
2θ = 34.89°, intensity 41
2θ = 35.93°, intensity 43
2θ = 39.30°, intensity 20
2θ = 45.06°, intensity 13
2θ = 53.55°, intensity 16
2θ = 56.08°, intensity 18
2θ = 58.22°, intensity 19

No. 3
Starting from DFT lattice parameters and positions (GGA-PBE), the powder XRD pattern of Tm4Pb5 was computed for Cu Kα (λ = 1.5418 Å).

Cell and atoms:
Unit cell a=7.9376 b=7.9376 c=7.9376 alpha=94.60 beta=94.60 gamma=147.08
Positions (direct):
Tm  0.1663  0.1663  0.3326
Tm  0.1663  0.8337  0.0000
Tm  0.8337  0.1663  0.0000
Tm  0.8337  0.8337  0.6674
Pb  0.1962  0.5000  0.6962
Pb  0.5000  0.1962  0.6962
Pb  0.5000  0.5000  0.0000
Pb  0.5000  0.8038  0.3038
Pb  0.8038  0.5000  0.3038

Principal peaks in the range 2θ = 10–80°, low angle first:
2θ = 31.90°, intensity 100
2θ = 35.37°, intensity 35
2θ = 39.92°, intensity 4
2θ = 40.09°, intensity 15
2θ = 50.89°, intensity 11
2θ = 54.52°, intensity 21
2θ = 61.33°, intensity 23
2θ = 66.69°, intensity 10
2θ = 67.73°, intensity 12
2θ = 74.06°, intensity 4

No. 4
Starting from DFT lattice parameters and positions (GGA-PBE), the powder XRD pattern of Ti3Al2NiC was computed for Cu Kα (λ = 1.5418 Å).

Cell and atoms:
Unit cell a=8.1048 b=8.1048 c=8.1048 alpha=60.00 beta=60.00 gamma=60.00
Positions (direct):
Ti  0.0635  0.0635  0.6865
Ti  0.0635  0.6865  0.0635
Ti  0.0635  0.6865  0.6865
Ti  0.3135  0.3135  0.9365
Ti  0.3135  0.9365  0.3135
Ti  0.3135  0.9365  0.9365
Ti  0.6865  0.0635  0.0635
Ti  0.6865  0.0635  0.6865
Ti  0.6865  0.6865  0.0635
Ti  0.9365  0.3135  0.3135
Ti  0.9365  0.3135  0.9365
Ti  0.9365  0.9365  0.3135
Al  0.2921  0.2921  0.2921
Al  0.2921  0.2921  0.6238
Al  0.2921  0.6238  0.2921
Al  0.3762  0.7079  0.7079
Al  0.6238  0.2921  0.2921
Al  0.7079  0.3762  0.7079
Al  0.7079  0.7079  0.3762
Al  0.7079  0.7079  0.7079
Ni  0.0000  0.5000  0.5000
Ni  0.5000  0.0000  0.5000
Ni  0.5000  0.5000  0.0000
Ni  0.5000  0.5000  0.5000
C  0.0000  0.0000  0.0000
C  0.0000  0.0000  0.5000
C  0.0000  0.5000  0.0000
C  0.5000  0.0000  0.0000

Principal peaks in the range 2θ = 10–80°, low angle first:
2θ = 26.95°, intensity 11
2θ = 34.10°, intensity 34
2θ = 38.48°, intensity 39
2θ = 40.91°, intensity 100
2θ = 44.73°, intensity 44
2θ = 52.99°, intensity 15
2θ = 66.81°, intensity 9
2θ = 69.60°, intensity 31
2θ = 71.25°, intensity 11
2θ = 71.80°, intensity 6

No. 5
Starting from DFT lattice parameters and positions (GGA-PBE), the powder XRD pattern of Ce3Co2Ir7 was computed for Cu Kα (λ = 1.5418 Å).

Cell and atoms:
Unit cell a=9.0618 b=9.0618 c=9.0618 alpha=34.02 beta=34.02 gamma=34.02
Positions (direct):
Ce  0.0000  0.0000  0.0000
Ce  0.1391  0.1391  0.1391
Ce  0.8609  0.8609  0.8609
Co  0.3334  0.3334  0.3334
Co  0.6666  0.6666  0.6666
Ir  0.0774  0.5794  0.5794
Ir  0.4206  0.4206  0.9226
Ir  0.4206  0.9226  0.4206
Ir  0.5000  0.5000  0.5000
Ir  0.5794  0.0774  0.5794
Ir  0.5794  0.5794  0.0774
Ir  0.9226  0.4206  0.4206

Principal peaks in the range 2θ = 10–80°, low angle first:
2θ = 31.28°, intensity 28
2θ = 34.17°, intensity 45
2θ = 39.41°, intensity 64
2θ = 39.90°, intensity 38
2θ = 40.05°, intensity 100
2θ = 42.39°, intensity 29
2θ = 43.19°, intensity 52
2θ = 46.73°, intensity 29
2θ = 65.25°, intensity 27
2θ = 71.14°, intensity 34

No. 6
Starting from DFT lattice parameters and positions (GGA-PBE), the powder XRD pattern of Ti2Cu3 was computed for Cu Kα (λ = 1.5418 Å).

Cell and atoms:
Unit cell a=3.1492 b=3.1492 c=14.0193 alpha=90.00 beta=90.00 gamma=90.00
Positions (direct):
Ti  0.2500  0.2500  0.0600
Ti  0.2500  0.2500  0.6460
Ti  0.7500  0.7500  0.3540
Ti  0.7500  0.7500  0.9400
Cu  0.2500  0.2500  0.2550
Cu  0.2500  0.2500  0.4550
Cu  0.2500  0.2500  0.8369
Cu  0.7500  0.7500  0.1631
Cu  0.7500  0.7500  0.5450
Cu  0.7500  0.7500  0.7450

Principal peaks in the range 2θ = 10–80°, low angle first:
2θ = 12.63°, intensity 2
2θ = 18.99°, intensity 4
2θ = 31.13°, intensity 2
2θ = 40.51°, intensity 65
2θ = 43.20°, intensity 100
2θ = 45.10°, intensity 2
2θ = 48.51°, intensity 4
2θ = 58.63°, intensity 20
2θ = 66.72°, intensity 5
2θ = 75.55°, intensity 33